(1)
Simulated X-ray diffraction stick pattern
Compound: Nd4OsS2Cl
Radiation: Cu Kα X-rays
Structure: DFT lattice parameters and positions (PBE)
Intensities are scaled so that the largest is 100.

a = 7.2404 Å, b = 4.0241 Å, c = 7.2656 Å
α = 90.00°, β = 107.48°, γ = 90.00°
Space group P2/m (No. 10)
One atom of each set of equivalent atoms:
Nd: 0.2429 0.0000 0.2240 [2 per cell]
Nd: 0.2544 0.5000 0.7660 [2 per cell]
Os: 0.5000 0.0000 0.0000 [1 per cell]
S: 0.0000 0.0000 0.5000 [1 per cell]
S: 0.0000 0.5000 0.0000 [1 per cell]
Cl: 0.5000 0.5000 0.5000 [1 per cell]

Most intense lines, 2θ = 10–80°, low angle first:
2θ 12.8, rel. 36.2, hkl 0 0 1; 2θ 30.5, rel. 100.0, hkl 1 1 1; 2θ 30.6, rel. 49.2, hkl 2 0 -2; 2θ 42.1, rel. 19.2, hkl 2 0 2; 2θ 43.6, rel. 34.3, hkl 1 1 -3; 2θ 43.8, rel. 37.3, hkl 3 1 -1; 2θ 45.1, rel. 17.9, hkl 0 2 0; 2θ 55.4, rel. 18.0, hkl 2 2 -2

=====

(2)
Simulated X-ray diffraction stick pattern
Compound: Nd6SiOs2Cl3
Radiation: Cu Kα X-rays
Structure: DFT lattice parameters and positions (PBE)
Intensities are scaled so that the largest is 100.

a = 7.2177 Å, b = 12.5311 Å, c = 7.8086 Å
α = 90.00°, β = 108.02°, γ = 90.00°
Space group C2/m (No. 12)
One atom of each set of equivalent atoms:
Nd: 0.2202 0.0000 0.2099 [4 per cell]
Nd: 0.2434 0.3250 0.2086 [8 per cell]
Si: 0.0000 0.5000 0.0000 [2 per cell]
Os: 0.0000 0.1663 0.0000 [4 per cell]
Cl: 0.0000 0.0000 0.5000 [2 per cell]
Cl: 0.0000 0.3351 0.5000 [4 per cell]

Most intense lines, 2θ = 10–80°, low angle first:
2θ 11.9, rel. 39.7, hkl 0 0 1; 2θ 29.5, rel. 100.0, hkl 2 0 -2; 2θ 37.7, rel. 12.2, hkl 1 3 2; 2θ 40.9, rel. 32.4, hkl 1 3 -3; 2θ 43.3, rel. 13.1, hkl 0 6 0; 2θ 43.4, rel. 24.1, hkl 3 3 -1; 2θ 51.7, rel. 12.0, hkl 2 0 3; 2θ 53.3, rel. 13.1, hkl 2 6 -2

=====

(3)
Simulated X-ray diffraction stick pattern
Compound: Nd2PCl
Radiation: Cu Kα X-rays
Structure: DFT lattice parameters and positions (PBE)
Intensities are scaled so that the largest is 100.

a = 4.0552 Å, b = 4.0552 Å, c = 21.9098 Å
α = 90.00°, β = 90.00°, γ = 120.00°
Space group R3m (No. 160, hexagonal axes)
One atom of each set of equivalent atoms:
Nd: 0.0000 0.0000 0.0000 [3 per cell]
Nd: 0.0000 0.0000 0.1920 [3 per cell]
P: 0.0000 0.0000 0.5948 [3 per cell]
Cl: 0.0000 0.0000 0.7641 [3 per cell]

Most intense lines, 2θ = 10–80°, low angle first:
2θ 24.4, rel. 21.4, hkl 0 0 6; 2θ 25.7, rel. 58.6, hkl 1 0 1; 2θ 26.7, rel. 21.3, hkl 0 1 2; 2θ 30.2, rel. 44.5, hkl 1 0 4; 2θ 32.7, rel. 100.0, hkl 0 1 5; 2θ 44.7, rel. 45.5, hkl 1 1 0; 2θ 49.0, rel. 24.7, hkl 1 0 10; 2θ 56.5, rel. 20.5, hkl 2 0 5